Structure and simulated powder diffractogram of LiCoP3O9 (a GGA+U-relaxed structure; Cu Kα, 1.54184 Å).
Intensities are scaled so that the largest is 100.

Structural model:
a b c (Å): 9.4348 9.4396 9.7121
angles (deg): 109.44 104.89 108.65
Space group P-1 (No. 2)
Symmetry-distinct sites (fractional):
Li (0.1441, 0.3489, 0.1759) x2
Li (0.1530, 0.5678, 0.9973) x2
Co (0.2483, 0.7304, 0.7753) x2
Co (0.4014, 0.2024, 0.2873) x2
P (0.0125, 0.6503, 0.3964) x2
P (0.0712, 0.8381, 0.2064) x2
P (0.1934, 0.0671, 0.9086) x2
P (0.3113, 0.4115, 0.5768) x2
P (0.4449, 0.7124, 0.3385) x2
P (0.4978, 0.8908, 0.1457) x2
O (0.0028, 0.6764, 0.0559) x2
O (0.0596, 0.5149, 0.7526) x2
O (0.0691, 0.0990, 0.7897) x2
O (0.0958, 0.8033, 0.3607) x2
O (0.1330, 0.6755, 0.5453) x2
O (0.1344, 0.3130, 0.5696) x2
O (0.1342, 0.8820, 0.8556) x2
O (0.2265, 0.9793, 0.2455) x2
O (0.2334, 0.1820, 0.0798) x2
O (0.2872, 0.5749, 0.2032) x2
O (0.3038, 0.3604, 0.4094) x2
O (0.3449, 0.7514, 0.0043) x2
O (0.3490, 0.1404, 0.8701) x2
O (0.3823, 0.5976, 0.6883) x2
O (0.4067, 0.3362, 0.6700) x2
O (0.4554, 0.7738, 0.5046) x2
O (0.4699, 0.9311, 0.8229) x2
O (0.4986, 0.1264, 0.6961) x2

Most intense lines, 2θ from 10° to 80°, by intensity:
2θ = 31.20°, intensity 100, hkl -3 2 1
2θ = 11.34°, intensity 97, hkl 0 1 -1
2θ = 25.20°, intensity 74, hkl 2 1 -1
2θ = 19.96°, intensity 63, hkl 1 1 -2
2θ = 30.34°, intensity 53, hkl 0 3 -1
2θ = 18.53°, intensity 51, hkl 0 1 1
2θ = 28.71°, intensity 50, hkl 0 1 -3
2θ = 21.24°, intensity 45, hkl 0 0 2
2θ = 22.30°, intensity 45, hkl 0 2 0
2θ = 32.62°, intensity 41, hkl 2 2 -2
2θ = 20.34°, intensity 38, hkl -2 1 1
2θ = 15.26°, intensity 38, hkl 1 -1 1

***

Structure and simulated powder diffractogram of LiCoP4O12 (a GGA+U-relaxed structure; Cu Kα, 1.54184 Å).
Intensities are scaled so that the largest is 100.

Structural model:
a b c (Å): 17.0064 12.1489 5.1610
angles (deg): 90.00 100.14 90.00
Space group C2/m (No. 12)
Symmetry-distinct sites (fractional):
Li (0.0790, 0.0000, 0.0822) x4
Co (0.2500, 0.2500, 0.5000) x4
P (0.0771, 0.2083, 0.6759) x8
P (0.1820, 0.3778, 0.9697) x8
O (0.0000, 0.2651, 0.5000) x4
O (0.0536, 0.1129, 0.8240) x8
O (0.1017, 0.3111, 0.8750) x8
O (0.1401, 0.1914, 0.5057) x8
O (0.1491, 0.5000, 0.8985) x4
O (0.2043, 0.3702, 0.2657) x8
O (0.2463, 0.3494, 0.8133) x8

Most intense lines, 2θ from 10° to 80°, by intensity:
2θ = 14.58°, intensity 100, hkl 0 2 0
2θ = 10.57°, intensity 51, hkl 2 0 0
2θ = 22.82°, intensity 41, hkl 0 2 1
2θ = 17.49°, intensity 37, hkl 3 1 0
2θ = 25.07°, intensity 26, hkl 4 0 -1
2θ = 18.78°, intensity 20, hkl 2 0 -1
2θ = 34.40°, intensity 19, hkl 0 4 1
2θ = 26.75°, intensity 16, hkl 3 1 1
2θ = 29.13°, intensity 13, hkl 4 2 -1
2θ = 35.39°, intensity 12, hkl 6 2 0
2θ = 26.50°, intensity 11, hkl 2 2 1
2θ = 34.05°, intensity 11, hkl 3 3 1

***

Structure and simulated powder diffractogram of Li2CoP2O7 (a GGA+U-relaxed structure; Cu Kα, 1.54184 Å).
Intensities are scaled so that the largest is 100.

Structural model:
a b c (Å): 7.9615 12.9203 10.9941
angles (deg): 90.00 92.16 90.00
Space group C2/c (No. 15)
Symmetry-distinct sites (fractional):
Li (0.0000, 0.2088, 0.2500) x4
Li (0.0000, 0.2191, 0.7500) x4
Li (0.0082, 0.2145, 0.5023) x8
Co (0.1894, 0.0004, 0.1137) x8
P (0.1945, 0.3953, 0.6312) x8
P (0.2079, 0.3852, 0.1334) x8
O (0.0584, 0.3145, 0.6267) x8
O (0.0816, 0.2984, 0.1258) x8
O (0.0991, 0.4928, 0.1269) x8
O (0.1737, 0.1088, 0.9754) x8
O (0.1892, 0.1130, 0.7445) x8
O (0.1931, 0.1089, 0.4809) x8
O (0.1939, 0.1048, 0.2502) x8

Most intense lines, 2θ from 10° to 80°, by intensity:
2θ = 13.71°, intensity 100, hkl 0 2 0
2θ = 22.35°, intensity 78, hkl 2 0 0
2θ = 26.31°, intensity 63, hkl 2 2 0
2θ = 28.38°, intensity 62, hkl 1 3 -2
2θ = 28.87°, intensity 55, hkl 1 3 2
2θ = 27.18°, intensity 55, hkl 2 0 -2
2θ = 28.19°, intensity 47, hkl 2 0 2
2θ = 40.02°, intensity 26, hkl 1 5 -2
2θ = 32.60°, intensity 24, hkl 0 0 4
2θ = 40.38°, intensity 24, hkl 1 5 2
2θ = 61.12°, intensity 21, hkl 3 5 4
2θ = 59.49°, intensity 18, hkl 3 5 -4

***

Structure and simulated powder diffractogram of Li2CoP2O7 (a GGA+U-relaxed structure; Cu Kα, 1.54184 Å).
Intensities are scaled so that the largest is 100.

Structural model:
a b c (Å): 5.1799 6.2669 8.7131
angles (deg): 72.18 86.35 83.51
Space group P-1 (No. 2)
Symmetry-distinct sites (fractional):
Li (0.1981, 0.0628, 0.3392) x2
Li (0.2999, 0.2128, 0.9587) x2
Co (0.2653, 0.5607, 0.2466) x2
P (0.2156, 0.7473, 0.8527) x2
P (0.2858, 0.2020, 0.6302) x2
O (0.0755, 0.2877, 0.1369) x2
O (0.0932, 0.2931, 0.7394) x2
O (0.2342, 0.2866, 0.4501) x2
O (0.2374, 0.9358, 0.6705) x2
O (0.2997, 0.8466, 0.9798) x2
O (0.3951, 0.5446, 0.8383) x2
O (0.4308, 0.7976, 0.3268) x2

Most intense lines, 2θ from 10° to 80°, by intensity:
2θ = 24.60°, intensity 100, hkl -1 1 1
2θ = 21.87°, intensity 75, hkl 1 1 1
2θ = 29.77°, intensity 64, hkl 0 1 -2
2θ = 21.43°, intensity 56, hkl 0 0 2
2θ = 34.88°, intensity 40, hkl 2 0 0
2θ = 14.92°, intensity 27, hkl 0 1 0
2θ = 31.89°, intensity 25, hkl 1 2 1
2θ = 34.69°, intensity 22, hkl 1 1 3
2θ = 57.91°, intensity 21, hkl -3 1 1
2θ = 39.91°, intensity 20, hkl 0 1 -3
2θ = 47.57°, intensity 19, hkl 1 3 0
2θ = 39.45°, intensity 19, hkl 1 2 3

***

Structure and simulated powder diffractogram of LiCoP2O7 (a GGA+U-relaxed structure; Cu Kα, 1.54184 Å).
Intensities are scaled so that the largest is 100.

Structural model:
a b c (Å): 4.8687 8.1235 6.9967
angles (deg): 90.00 108.51 90.00
Space group P2_1 (No. 4)
Symmetry-distinct sites (fractional):
Li (0.1776, 0.0000, 0.1692) x2
Co (0.2167, 0.6370, 0.2321) x2
P (0.2138, 0.9253, 0.5851) x2
P (0.3993, 0.3192, 0.0203) x2
O (0.0560, 0.4688, 0.3566) x2
O (0.1303, 0.8359, 0.3834) x2
O (0.1850, 0.1763, 0.9816) x2
O (0.2489, 0.4866, 0.0077) x2
O (0.3966, 0.0782, 0.5823) x2
O (0.3996, 0.7919, 0.7478) x2
O (0.4006, 0.8168, 0.1104) x2

Most intense lines, 2θ from 10° to 80°, by intensity:
2θ = 17.26°, intensity 100, hkl 0 1 1
2θ = 29.56°, intensity 53, hkl 1 2 -1
2θ = 22.50°, intensity 37, hkl 1 1 -1
2θ = 29.83°, intensity 28, hkl 1 1 -2
2θ = 29.03°, intensity 25, hkl 1 1 1
2θ = 26.80°, intensity 23, hkl 1 0 1
2θ = 22.15°, intensity 23, hkl 1 1 0
2θ = 34.91°, intensity 15, hkl 0 2 2
2θ = 25.72°, intensity 14, hkl 0 2 1
2θ = 39.74°, intensity 13, hkl 1 1 2
2θ = 43.66°, intensity 13, hkl 1 3 -2
2θ = 58.69°, intensity 9, hkl 2 3 -3

***

Structure and simulated powder diffractogram of Li3Co3P4O16 (a GGA+U-relaxed structure; Cu Kα, 1.54184 Å).
Intensities are scaled so that the largest is 100.

Structural model:
a b c (Å): 8.8482 7.8784 9.3152
angles (deg): 90.00 113.32 90.00
Space group P2_1 (No. 4)
Symmetry-distinct sites (fractional):
Li (0.0936, 0.0000, 0.2555) x2
Li (0.0937, 0.2275, 0.7611) x2
Li (0.3965, 0.5005, 0.2414) x2
Co (0.0133, 0.3693, 0.2383) x2
Co (0.3924, 0.7141, 0.7407) x2
Co (0.4959, 0.8547, 0.2507) x2
P (0.1343, 0.5413, 0.5692) x2
P (0.1389, 0.6801, 0.0772) x2
P (0.3629, 0.0507, 0.9166) x2
P (0.3703, 0.1644, 0.4201) x2
O (0.0480, 0.6763, 0.8928) x2
O (0.0492, 0.4240, 0.6380) x2
O (0.0529, 0.7995, 0.1450) x2
O (0.0536, 0.5522, 0.3898) x2
O (0.1487, 0.4948, 0.1372) x2
O (0.1606, 0.7256, 0.6458) x2
O (0.1842, 0.0072, 0.8895) x2
O (0.1915, 0.2256, 0.3843) x2
O (0.3225, 0.7254, 0.1094) x2
O (0.3285, 0.5058, 0.6195) x2
O (0.3583, 0.9837, 0.3492) x2
O (0.3613, 0.2283, 0.8443) x2
O (0.4475, 0.9190, 0.8500) x2
O (0.4560, 0.2862, 0.3449) x2
O (0.4659, 0.1667, 0.6011) x2
O (0.4670, 0.0504, 0.1005) x2

Most intense lines, 2θ from 10° to 80°, by intensity:
2θ = 16.23°, intensity 100, hkl 1 1 -1
2θ = 26.10°, intensity 73, hkl 2 1 -2
2θ = 23.67°, intensity 65, hkl 0 1 2
2θ = 21.88°, intensity 43, hkl 2 0 0
2θ = 30.86°, intensity 39, hkl 0 2 2
2θ = 24.65°, intensity 31, hkl 2 1 0
2θ = 20.77°, intensity 30, hkl 0 0 2
2θ = 38.75°, intensity 27, hkl 1 3 1
2θ = 36.01°, intensity 26, hkl 2 0 2
2θ = 45.24°, intensity 22, hkl 1 3 -3
2θ = 61.89°, intensity 22, hkl 1 3 -5
2θ = 32.80°, intensity 20, hkl 2 2 -2